Diffraction record for Ce10Ge2C3. The X-ray diffraction stick pattern is calculated, not measured: it uses a structure optimized by DFT (GGA-PBE) and λ = 1.5418 Å (Cu Kα).
Peak positions follow from Bragg's law for the DFT cell and can differ from measured ones.

Cell lengths 22.9698, 6.7369, 9.3210 Å; angles 90.00, 110.61, 90.00 degrees
Space group C2/m (No. 12)
Symmetry-distinct sites (fractional):
Ce  0.0000  0.2304  0.0000 [4 per cell]
Ce  0.0041  0.0000  0.6999 [4 per cell]
Ce  0.0184  0.5000  0.7005 [4 per cell]
Ce  0.1163  0.2171  0.5628 [8 per cell]
Ce  0.1282  0.5000  0.2625 [4 per cell]
Ce  0.1463  0.2390  0.9686 [8 per cell]
Ce  0.2440  0.5000  0.8228 [4 per cell]
Ce  0.2500  0.2500  0.5000 [4 per cell]
Ge  0.1304  0.0000  0.2564 [4 per cell]
Ge  0.2392  0.0000  0.8079 [4 per cell]
C  0.0000  0.2412  0.5000 [4 per cell]
C  0.0731  0.5000  0.9850 [4 per cell]
C  0.1807  0.5000  0.5532 [4 per cell]

Top 10 peaks for 2θ from 15° to 90°, by angle:
2theta  intensity  index
30.64  31  2 2 1
32.09  77  6 0 -3
33.34  51  8 0 0
33.62  100  0 2 2
34.67  42  2 0 3
35.53  78  6 2 -1
42.31  21  8 2 -2
53.36  32  8 2 2
54.48  18  0 4 0
56.90  24  6 2 -5

=====

Diffraction record for NdTm6Sc6. The X-ray diffraction stick pattern is calculated, not measured: it uses a structure optimized by DFT (GGA-PBE) and λ = 1.5418 Å (Cu Kα).
Peak positions follow from Bragg's law for the DFT cell and can differ from measured ones.

Cell lengths 6.6661, 10.6534, 10.6031 Å; angles 90.00, 90.00, 90.00 degrees
Space group Cmmm (No. 65)
Symmetry-distinct sites (fractional):
Nd  0.0000  0.0000  0.0000 [2 per cell]
Tm  0.0000  0.0000  0.3383 [4 per cell]
Tm  0.0000  0.2832  0.5000 [4 per cell]
Tm  0.0000  0.3516  0.0000 [4 per cell]
Sc  0.0000  0.5000  0.2877 [4 per cell]
Sc  0.2500  0.2500  0.2282 [8 per cell]

Top 10 peaks for 2θ from 15° to 90°, by angle:
2theta  intensity  index
16.72  35  0 0 2
26.75  81  2 0 0
28.48  100  1 3 0
30.35  70  0 2 3
31.70  65  2 0 2
33.21  57  1 3 2
36.02  58  2 2 2
38.39  33  1 3 3
40.89  43  2 2 3
60.11  31  1 3 6

=====

Diffraction record for Nd2Sm3Y. The X-ray diffraction stick pattern is calculated, not measured: it uses a structure optimized by DFT (GGA-PBE) and λ = 1.5418 Å (Cu Kα).
Peak positions follow from Bragg's law for the DFT cell and can differ from measured ones.

Cell lengths 9.8122, 3.5947, 11.7337 Å; angles 90.00, 93.31, 90.00 degrees
Space group P2_1/m (No. 11)
Symmetry-distinct sites (fractional):
Nd  0.0582  0.2500  0.3567 [2 per cell]
Nd  0.4152  0.7500  0.8780 [2 per cell]
Sm  0.0986  0.2500  0.8988 [2 per cell]
Sm  0.2650  0.2500  0.6399 [2 per cell]
Sm  0.4233  0.2500  0.3810 [2 per cell]
Y  0.2578  0.7500  0.1447 [2 per cell]

Top 10 peaks for 2θ from 15° to 90°, by angle:
2theta  intensity  index
27.65  24  1 1 1
30.55  100  3 0 -2
30.85  16  1 1 2
32.10  89  3 0 2
34.79  37  1 1 -3
50.96  22  2 1 5
53.44  14  5 1 -1
59.84  14  5 1 3
60.44  29  3 2 -2
61.37  23  3 2 2

=====

Diffraction record for InPtAu2. The X-ray diffraction stick pattern is calculated, not measured: it uses a structure optimized by DFT (GGA-PBE) and λ = 1.5418 Å (Cu Kα).
Peak positions follow from Bragg's law for the DFT cell and can differ from measured ones.

Cell lengths 2.9930, 5.1560, 4.8074 Å; angles 90.00, 90.67, 90.00 degrees
Space group P2/m (No. 10)
Symmetry-distinct sites (fractional):
In  0.0000  0.0000  0.0000 [1 per cell]
Pt  0.5000  0.0000  0.5000 [1 per cell]
Au  0.2523  0.5000  0.7476 [2 per cell]

Top 10 peaks for 2θ from 15° to 90°, by angle:
2theta  intensity  index
34.80  70  0 2 0
35.52  66  1 0 1
39.37  100  1 1 -1
41.45  87  0 1 2
50.57  49  1 2 1
64.88  23  2 1 0
65.46  23  1 3 -1
66.93  21  0 3 2
69.28  19  1 1 3
76.63  15  1 2 -3

=====

Diffraction record for Ac4SnIr. The X-ray diffraction stick pattern is calculated, not measured: it uses a structure optimized by DFT (GGA-PBE) and λ = 1.5418 Å (Cu Kα).
Peak positions follow from Bragg's law for the DFT cell and can differ from measured ones.

Cell lengths 5.3359, 5.3359, 7.9856 Å; angles 90.00, 90.00, 90.00 degrees
Space group P4/mmm (No. 123)
Symmetry-distinct sites (fractional):
Ac  0.0000  0.5000  0.2264 [4 per cell]
Sn  0.0000  0.0000  0.5000 [1 per cell]
Ir  0.5000  0.5000  0.0000 [1 per cell]

Top 10 peaks for 2θ from 15° to 90°, by angle:
2theta  intensity  index
20.01  24  1 0 1
22.26  14  0 0 2
23.58  27  1 1 0
32.65  100  1 1 2
33.59  51  2 0 0
40.67  12  2 0 2
48.25  21  2 2 0
57.68  18  2 0 4
59.47  37  3 1 2
68.43  14  2 2 4

=====

Diffraction record for Cs3KCu2Cl9. The X-ray diffraction stick pattern is calculated, not measured: it uses a structure optimized by DFT (GGA-PBE) and λ = 1.5418 Å (Cu Kα).
Peak positions follow from Bragg's law for the DFT cell and can differ from measured ones.

Cell lengths 7.3237, 7.3237, 9.3422 Å; angles 90.00, 90.00, 120.00 degrees
Space group P-3m1 (No. 164)
Symmetry-distinct sites (fractional):
Cs  0.0000  0.0000  0.0000 [1 per cell]
Cs  0.3333  0.6667  0.6749 [2 per cell]
K  0.0000  0.0000  0.5000 [1 per cell]
Cu  0.3333  0.6667  0.1511 [2 per cell]
Cl  0.0000  0.5000  0.0000 [3 per cell]
Cl  0.1804  0.3608  0.2924 [6 per cell]

Top 10 peaks for 2θ from 15° to 90°, by angle:
2theta  intensity  index
23.66  80  0 1 2
24.31  71  1 1 0
28.67  17  0 0 3
29.75  55  0 2 1
34.17  100  2 0 2
41.19  17  1 0 4
42.38  31  1 2 2
48.40  29  0 2 4
49.80  33  2 2 0
54.88  19  2 1 4

=====

Diffraction record for Ho4TlOs. The X-ray diffraction stick pattern is calculated, not measured: it uses a structure optimized by DFT (GGA-PBE) and λ = 1.5418 Å (Cu Kα).
Peak positions follow from Bragg's law for the DFT cell and can differ from measured ones.

Cell lengths 8.7399, 13.0428, 6.1358 Å; angles 90.00, 107.49, 90.00 degrees
Space group C2/c (No. 15)
Symmetry-distinct sites (fractional):
Ho  0.1080  0.1684  0.0481 [8 per cell]
Ho  0.2252  0.4255  0.3898 [8 per cell]
Tl  0.0000  0.3748  0.7500 [4 per cell]
Os  0.0000  0.0002  0.2500 [4 per cell]

Top 10 peaks for 2θ from 15° to 90°, by angle:
2theta  intensity  index
29.47  35  1 3 1
29.96  38  1 1 -2
31.97  69  3 1 -1
32.90  100  2 2 1
34.58  28  2 2 -2
35.86  58  1 3 -2
36.09  52  1 5 0
37.99  36  1 5 -1
38.45  33  3 3 0
45.70  31  4 2 0